Structure and computed X-ray diffraction stick pattern of CoCuAg2F6 (a structure optimized by DFT (GGA+U); Cu Kα, 1.54184 Å).

Atomic structure:
```
data_CoCuAg2F6
_chemical_formula_sum 'Co2 Cu2 Ag4 F12'
_space_group_name_H-M_alt 'P 1 21/c 1'
_space_group_IT_number 14
_space_group_name_Hall '-P 2ybc'
_cell_length_a 5.747
_cell_length_b 5.854
_cell_length_c 9.646
_cell_angle_alpha 90.00
_cell_angle_beta 125.99
_cell_angle_gamma 90.00
loop_
_atom_site_label
_atom_site_fract_x
_atom_site_fract_y
_atom_site_fract_z
_atom_site_occupancy
Co1 0.000 0.000 0.000 1
Cu1 0.500 0.000 0.500 1
Ag1 0.239 0.043 0.749 1
F1 0.180 0.202 0.463 1
F2 0.228 0.691 0.451 1
F3 0.344 0.014 0.257 1
```

Main lines, by angle (10 to 90 degrees two-theta):
two_theta  d (Å)  I/Imax
30.54  2.927  50
31.12  2.873  47
31.53  2.837  100
31.77  2.817  92
44.17  2.051  60
46.54  1.951  30
50.78  1.798  15
55.49  1.656  24
55.93  1.644  24
56.71  1.623  29
65.83  1.419  14
66.37  1.409  14